Structure and computed X-ray powder pattern of La2Al3Sn (a GGA-PBE-relaxed structure; λ = 1.5418 Å (Cu Kα)).
Neutral-atom scattering factors, no anomalous dispersion.

The 12 most intense peaks (2θ = 15–90°), in order of falling intensity:
30.48 deg, 2.932 Å, I = 100; 39.93 deg, 2.258 Å, I = 37; 22.74 deg, 3.910 Å, I = 25; 58.34 deg, 1.582 Å, I = 24; 51.06 deg, 1.789 Å, I = 24; 66.74 deg, 1.402 Å, I = 14; 40.71 deg, 2.217 Å, I = 12; 67.80 deg, 1.382 Å, I = 10; 47.13 deg, 1.928 Å, I = 7; 66.65 deg, 1.403 Å, I = 7; 81.68 deg, 1.179 Å, I = 6; 86.69 deg, 1.123 Å, I = 5

Structure:
Cell: 4.4331 4.5105 7.8286 Å, 90.00 90.00 90.00°
Space group Pmm2 (No. 25)
Unique sites:
La 0.0000 0.0000 0.0000 (multiplicity 1)
La 0.0000 0.5000 0.4932 (multiplicity 1)
Al 0.5000 0.0000 0.3257 (multiplicity 1)
Al 0.5000 0.0000 0.6504 (multiplicity 1)
Al 0.5000 0.5000 0.1742 (multiplicity 1)
Sn 0.5000 0.5000 0.8329 (multiplicity 1)

Structure and computed X-ray powder pattern of RbTiNiS4 (a GGA-PBE-relaxed structure; λ = 1.5418 Å (Cu Kα)).
Neutral-atom scattering factors, no anomalous dispersion.

The 12 most intense peaks (2θ = 15–90°), in order of falling intensity:
33.32 deg, 2.689 Å, I = 100; 35.04 deg, 2.561 Å, I = 93; 35.61 deg, 2.521 Å, I = 79; 31.96 deg, 2.800 Å, I = 66; 26.25 deg, 3.395 Å, I = 58; 44.90 deg, 2.019 Å, I = 51; 18.81 deg, 4.717 Å, I = 48; 51.40 deg, 1.778 Å, I = 45; 30.66 deg, 2.916 Å, I = 41; 26.57 deg, 3.355 Å, I = 40; 25.84 deg, 3.448 Å, I = 40; 48.90 deg, 1.862 Å, I = 37

Structure:
Cell: 6.1395 5.6010 9.2213 Å, 90.00 108.39 90.00°
Space group P2_1/m (No. 11)
Unique sites:
Rb 0.2318 0.2500 0.0472 (multiplicity 2)
Ti 0.2621 0.2500 0.5570 (multiplicity 2)
Ni 0.2566 0.7500 0.3373 (multiplicity 2)
S 0.0086 0.5055 0.6688 (multiplicity 4)
S 0.4487 0.7500 0.5785 (multiplicity 2)
S 0.4693 0.7500 0.1892 (multiplicity 2)

Structure and computed X-ray powder pattern of Sr2Li3CdSn4 (a GGA-PBE-relaxed structure; λ = 1.5418 Å (Cu Kα)).
Neutral-atom scattering factors, no anomalous dispersion.

The 12 most intense peaks (2θ = 15–90°), in order of falling intensity:
31.09 deg, 2.876 Å, I = 100; 38.87 deg, 2.317 Å, I = 49; 24.26 deg, 3.669 Å, I = 35; 29.48 deg, 3.029 Å, I = 31; 28.23 deg, 3.161 Å, I = 25; 40.76 deg, 2.214 Å, I = 24; 65.57 deg, 1.424 Å, I = 24; 42.38 deg, 2.133 Å, I = 23; 49.54 deg, 1.840 Å, I = 18; 58.85 deg, 1.569 Å, I = 18; 56.14 deg, 1.638 Å, I = 17; 22.21 deg, 4.003 Å, I = 17

Structure:
Cell: 4.6341 4.6341 12.0101 Å, 90.00 90.00 90.00°
Space group P-4m2 (No. 115)
Unique sites:
Sr 0.0000 0.5000 0.2478 (multiplicity 2)
Li 0.0000 0.5000 0.8662 (multiplicity 2)
Li 0.5000 0.5000 0.5000 (multiplicity 1)
Cd 0.0000 0.0000 0.5000 (multiplicity 1)
Sn 0.0000 0.0000 0.0000 (multiplicity 1)
Sn 0.0000 0.5000 0.6423 (multiplicity 2)
Sn 0.5000 0.5000 0.0000 (multiplicity 1)

Structure and computed X-ray powder pattern of Hf6NbSb2 (a GGA-PBE-relaxed structure; λ = 1.5418 Å (Cu Kα)).
Neutral-atom scattering factors, no anomalous dispersion.

The 12 most intense peaks (2θ = 15–90°), in order of falling intensity:
33.22 deg, 2.697 Å, I = 100; 35.85 deg, 2.505 Å, I = 62; 35.11 deg, 2.556 Å, I = 56; 40.00 deg, 2.254 Å, I = 36; 65.13 deg, 1.432 Å, I = 29; 42.90 deg, 2.108 Å, I = 23; 61.57 deg, 1.506 Å, I = 22; 48.84 deg, 1.865 Å, I = 19; 64.90 deg, 1.437 Å, I = 17; 54.79 deg, 1.675 Å, I = 14; 48.55 deg, 1.875 Å, I = 9; 81.21 deg, 1.185 Å, I = 8

Structure:
Cell: 7.8076 7.8076 3.7294 Å, 90.00 90.00 120.00°
Space group P-62m (No. 189)
Unique sites:
Hf 0.0000 0.2536 0.0000 (multiplicity 3)
Hf 0.0000 0.6020 0.5000 (multiplicity 3)
Nb 0.0000 0.0000 0.5000 (multiplicity 1)
Sb 0.3333 0.6667 0.0000 (multiplicity 2)

Structure and computed X-ray powder pattern of KSb4F13 (a GGA-PBE-relaxed structure; λ = 1.5418 Å (Cu Kα)).
Neutral-atom scattering factors, no anomalous dispersion.

The 12 most intense peaks (2θ = 15–90°), in order of falling intensity:
24.70 deg, 3.604 Å, I = 100; 30.84 deg, 2.899 Å, I = 40; 16.59 deg, 5.343 Å, I = 35; 25.81 deg, 3.451 Å, I = 35; 52.47 deg, 1.744 Å, I = 30; 48.78 deg, 1.867 Å, I = 30; 47.52 deg, 1.913 Å, I = 27; 40.66 deg, 2.219 Å, I = 27; 38.41 deg, 2.343 Å, I = 21; 67.92 deg, 1.380 Å, I = 19; 27.95 deg, 3.192 Å, I = 17; 80.81 deg, 1.189 Å, I = 15

Structure:
Cell: 9.7621 9.7621 6.3842 Å, 90.00 90.00 90.00°
Space group I-4 (No. 82)
Unique sites:
K 0.0000 0.0000 0.0000 (multiplicity 2)
Sb 0.0164 0.7021 0.5033 (multiplicity 8)
F 0.0000 0.5000 0.7500 (multiplicity 2)
F 0.0776 0.1494 0.3382 (multiplicity 8)
F 0.0835 0.6363 0.1013 (multiplicity 8)
F 0.1020 0.2333 0.7342 (multiplicity 8)

Structure and computed X-ray powder pattern of Tb6Y5Th (a GGA-PBE-relaxed structure; λ = 1.5418 Å (Cu Kα)).
Neutral-atom scattering factors, no anomalous dispersion.

The 12 most intense peaks (2θ = 15–90°), in order of falling intensity:
30.67 deg, 2.915 Å, I = 100; 35.56 deg, 2.524 Å, I = 50; 51.18 deg, 1.785 Å, I = 36; 60.86 deg, 1.522 Å, I = 32; 86.14 deg, 1.129 Å, I = 16; 63.87 deg, 1.457 Å, I = 12; 83.44 deg, 1.158 Å, I = 12; 60.83 deg, 1.523 Å, I = 11; 83.49 deg, 1.158 Å, I = 6; 75.29 deg, 1.262 Å, I = 6; 15.19 deg, 5.833 Å, I = 3; 29.34 deg, 3.044 Å, I = 2

Structure:
Cell: 6.1820 10.7063 11.8474 Å, 90.00 100.04 90.00°
Space group C2/m (No. 12)
Unique sites:
Tb 0.2466 0.0000 0.2508 (multiplicity 4)
Tb 0.2475 0.1647 0.7494 (multiplicity 8)
Y 0.0000 0.1673 0.0000 (multiplicity 4)
Y 0.0000 0.3333 0.5000 (multiplicity 4)
Y 0.0000 0.5000 0.0000 (multiplicity 2)
Th 0.0000 0.0000 0.5000 (multiplicity 2)